# 1
# NaCeHfZrO6
Simulated XRD peak list, Cu Ka. Input: a DFT-relaxed cell (GGA-PBE, the Materials Project).

The 8 most intense peaks (2θ = 15–90°), low angle first:
(hkl)  d (Å)  2θ/deg  I (rel.)
1 1 1  4.771  18.6  28
2 2 0  2.921  30.6  100
3 1 1  2.491  36.1  16
4 0 0  2.066  43.8  32
4 2 2  1.687  54.4  40
4 4 0  1.461  63.7  20
6 2 0  1.306  72.3  17
6 4 2  1.104  88.6  21

Structure:
a b c (Å): 8.2629 8.2629 8.2629
angles (deg): 90.00 90.00 90.00
Space group F-43m (No. 216)
Unique sites:
Na (0.0000, 0.0000, 0.0000) x4
Ce (0.0000, 0.0000, 0.5000) x4
Hf (0.2500, 0.2500, 0.7500) x4
Zr (0.2500, 0.2500, 0.2500) x4
O (0.0018, 0.2500, 0.7500) x24

---

# 2
# CeHfO4
Simulated XRD peak list, Cu Ka. Input: a DFT-relaxed cell (GGA-PBE, the Materials Project).

The 8 most intense peaks (2θ = 15–90°), low angle first:
(hkl)  d (Å)  2θ/deg  I (rel.)
0 0 2  3.829  23.2  12
2 1 0  3.126  28.6  100
0 2 0  2.707  33.1  15
2 0 2  2.567  35.0  10
2 2 -2  1.971  46.1  9
2 2 2  1.862  48.9  14
2 3 0  1.632  56.4  13
4 1 2  1.570  58.8  10

Structure:
a b c (Å): 7.7132 5.4132 7.7028
angles (deg): 90.00 96.48 90.00
Space group P2_1/c (No. 14)
Unique sites:
Ce (0.1470, 0.2274, 0.3852) x4
Hf (0.3466, 0.7275, 0.1852) x4
O (0.1032, 0.5097, 0.1659) x4
O (0.1676, 0.0098, 0.1142) x4
O (0.3234, 0.6092, 0.9282) x4
O (0.4195, 0.0996, 0.8157) x4